(1)
Diffraction record for GePb2S. The XRD peak list is simulated, not measured: it uses a crystal structure in Alexandria, relaxed with GGA-PBE and Cu Kα (λ = 1.5418 Å).
Lines closer than 0.1° are merged.

Cell and atoms:
```
data_GePb2S
_chemical_formula_sum 'Ge4 Pb8 S4'
_cell_length_a 6.343
_cell_length_b 6.343
_cell_length_c 14.018
_cell_angle_alpha 90.00
_cell_angle_beta 90.00
_cell_angle_gamma 90.00
_space_group_name_H-M_alt 'I -4 2 d'
_space_group_IT_number 122
_space_group_name_Hall 'I -4 2bw'
loop_
_atom_site_label
_atom_site_fract_x
_atom_site_fract_y
_atom_site_fract_z
Ge1 0.000 0.000 0.000
Pb1 0.246 0.250 0.625
S1 0.000 0.000 0.500
```

Principal peaks in the range 15° ≤ 2θ ≤ 90°, sorted by position:
23.55 deg, I 100; 28.14 deg, I 16; 38.27 deg, I 43; 40.21 deg, I 19; 43.68 deg, I 20; 47.13 deg, I 33

***

(2)
Diffraction record for GeSbPb2Se5. The XRD peak list is simulated, not measured: it uses a crystal structure in Alexandria, relaxed with GGA-PBE and Cu Kα (λ = 1.5418 Å).
Lines closer than 0.1° are merged.

Cell and atoms:
```
data_GeSbPb2Se5
_chemical_formula_sum 'Ge4 Sb4 Pb8 Se20'
_cell_length_a 4.395
_cell_length_b 18.304
_cell_length_c 12.657
_cell_angle_alpha 90.00
_cell_angle_beta 90.00
_cell_angle_gamma 90.00
_space_group_name_H-M_alt 'C m c 21'
_space_group_IT_number 36
loop_
_space_group_symop_operation_xyz
'x,y,z'
'-x,-y,z+1/2'
'-x,y,z'
'x,-y,z+1/2'
'x+1/2,y+1/2,z'
'-x+1/2,-y+1/2,z+1/2'
'-x+1/2,y+1/2,z'
'x+1/2,-y+1/2,z+1/2'
loop_
_atom_site_label
_atom_site_fract_x
_atom_site_fract_y
_atom_site_fract_z
Ge1 0.000 0.050 0.000
Sb1 0.000 0.297 0.613
Pb1 0.000 0.368 0.267
Pb2 0.000 0.392 0.918
Se1 0.000 0.012 0.332
Se2 0.000 0.153 0.596
Se3 0.000 0.179 0.944
Se4 0.000 0.206 0.256
Se5 0.000 0.479 0.584
```

Principal peaks in the range 15° ≤ 2θ ≤ 90°, sorted by position:
23.21 deg, I 21; 28.75 deg, I 22; 29.76 deg, I 100; 30.13 deg, I 33; 34.91 deg, I 41; 41.08 deg, I 31

***

(3)
Diffraction record for SnGe2SbPb. The XRD peak list is simulated, not measured: it uses a crystal structure in Alexandria, relaxed with GGA-PBE and Cu Kα (λ = 1.5418 Å).
Lines closer than 0.1° are merged.

Cell and atoms:
```
data_SnGe2SbPb
_chemical_formula_sum 'Sn1 Ge2 Sb1 Pb1'
_cell_length_a 5.379
_cell_length_b 5.379
_cell_length_c 5.882
_cell_angle_alpha 90.00
_cell_angle_beta 90.00
_cell_angle_gamma 90.00
_space_group_name_H-M_alt 'P 4/m m m'
_space_group_IT_number 123
_space_group_name_Hall '-P 4 2'
loop_
_atom_site_label
_atom_site_fract_x
_atom_site_fract_y
_atom_site_fract_z
Sn1 0.000 0.000 0.000
Ge1 0.000 0.500 0.500
Sb1 0.500 0.500 0.000
Pb1 0.000 0.000 0.500
```

Principal peaks in the range 15° ≤ 2θ ≤ 90°, sorted by position:
16.48 deg, I 61; 22.40 deg, I 63; 23.39 deg, I 59; 30.39 deg, I 64; 33.31 deg, I 100; 45.71 deg, I 83

***

(4)
Diffraction record for Sc3GePb. The XRD peak list is simulated, not measured: it uses a crystal structure in Alexandria, relaxed with GGA-PBE and Cu Kα (λ = 1.5418 Å).
Lines closer than 0.1° are merged.

Cell and atoms:
```
data_Sc3GePb
_chemical_formula_sum 'Sc12 Ge4 Pb4'
_cell_length_a 3.793
_cell_length_b 9.630
_cell_length_c 13.727
_cell_angle_alpha 90.00
_cell_angle_beta 90.00
_cell_angle_gamma 90.00
_space_group_name_H-M_alt 'A m m 2'
_space_group_IT_number 38
loop_
_space_group_symop_operation_xyz
'x,y,z'
'-x,-y,z'
'-x,y,z'
'x,-y,z'
'x,y+1/2,z+1/2'
'-x,-y+1/2,z+1/2'
'-x,y+1/2,z+1/2'
'x,-y+1/2,z+1/2'
loop_
_atom_site_label
_atom_site_fract_x
_atom_site_fract_y
_atom_site_fract_z
Sc1 0.000 0.000 0.000
Sc2 0.000 0.000 0.353
Sc3 0.500 0.193 0.554
Sc4 0.500 0.193 0.798
Ge1 0.000 0.250 0.426
Pb1 0.000 0.000 0.676
Pb2 0.500 0.000 0.176
```

Principal peaks in the range 15° ≤ 2θ ≤ 90°, sorted by position:
22.56 deg, I 82; 26.07 deg, I 48; 32.03 deg, I 100; 37.30 deg, I 64; 41.68 deg, I 21; 43.81 deg, I 26

***

(5)
Diffraction record for Ge2Pb2Se5. The XRD peak list is simulated, not measured: it uses a crystal structure in Alexandria, relaxed with GGA-PBE and Cu Kα (λ = 1.5418 Å).
Lines closer than 0.1° are merged.

Cell and atoms:
```
data_Ge2Pb2Se5
_chemical_formula_sum 'Ge4 Pb4 Se10'
_cell_length_a 13.764
_cell_length_b 5.528
_cell_length_c 7.251
_cell_angle_alpha 90.00
_cell_angle_beta 112.81
_cell_angle_gamma 90.00
_space_group_name_H-M_alt 'C 1 2/m 1'
_space_group_IT_number 12
loop_
_space_group_symop_operation_xyz
'x,y,z'
'-x,-y,-z'
'-x,y,-z'
'x,-y,z'
'x+1/2,y+1/2,z'
'-x+1/2,-y+1/2,-z'
'-x+1/2,y+1/2,-z'
'x+1/2,-y+1/2,z'
loop_
_atom_site_label
_atom_site_fract_x
_atom_site_fract_y
_atom_site_fract_z
Ge1 0.152 0.000 0.372
Pb1 0.119 0.500 0.793
Se1 0.000 0.000 0.500
Se2 0.148 0.000 0.030
Se3 0.157 0.500 0.406
```

Principal peaks in the range 15° ≤ 2θ ≤ 90°, sorted by position:
23.62 deg, I 61; 28.13 deg, I 74; 29.66 deg, I 91; 32.39 deg, I 100; 33.34 deg, I 55; 41.18 deg, I 72

***

(6)
Diffraction record for GePb2Se4. The XRD peak list is simulated, not measured: it uses a crystal structure in Alexandria, relaxed with GGA-PBE and Cu Kα (λ = 1.5418 Å).
Lines closer than 0.1° are merged.

Cell and atoms:
```
data_GePb2Se4
_chemical_formula_sum 'Ge4 Pb8 Se16'
_cell_length_a 10.376
_cell_length_b 10.503
_cell_length_c 7.863
_cell_angle_alpha 90.00
_cell_angle_beta 90.00
_cell_angle_gamma 90.00
_space_group_name_H-M_alt 'F m m 2'
_space_group_IT_number 42
_space_group_name_Hall 'F 2 -2'
loop_
_atom_site_label
_atom_site_fract_x
_atom_site_fract_y
_atom_site_fract_z
Ge1 0.000 0.000 0.000
Pb1 0.250 0.250 0.006
Se1 0.000 0.187 0.823
Se2 0.188 0.000 0.179
```

Principal peaks in the range 15° ≤ 2θ ≤ 90°, sorted by position:
16.88 deg, I 26; 17.09 deg, I 25; 28.36 deg, I 32; 28.49 deg, I 36; 33.30 deg, I 100; 34.15 deg, I 25

***

(7)
Diffraction record for Sm5GePb2. The XRD peak list is simulated, not measured: it uses a crystal structure in Alexandria, relaxed with GGA-PBE and Cu Kα (λ = 1.5418 Å).
Lines closer than 0.1° are merged.

Cell and atoms:
```
data_Sm5GePb2
_chemical_formula_sum 'Sm10 Ge2 Pb4'
_cell_length_a 8.370
_cell_length_b 12.573
_cell_length_c 4.640
_cell_angle_alpha 90.00
_cell_angle_beta 90.00
_cell_angle_gamma 90.00
_space_group_name_H-M_alt 'P b a m'
_space_group_IT_number 55
loop_
_space_group_symop_operation_xyz
'x,y,z'
'-x,-y,-z'
'-x,-y,z'
'x,y,-z'
'x+1/2,-y+1/2,-z'
'-x+1/2,y+1/2,z'
'-x+1/2,y+1/2,-z'
'x+1/2,-y+1/2,z'
loop_
_atom_site_label
_atom_site_fract_x
_atom_site_fract_y
_atom_site_fract_z
Sm1 0.000 0.000 0.000
Sm2 0.146 0.290 0.000
Sm3 0.195 0.567 0.500
Ge1 0.000 0.500 0.000
Pb1 0.079 0.827 0.500
```

Principal peaks in the range 15° ≤ 2θ ≤ 90°, sorted by position:
29.61 deg, I 100; 30.38 deg, I 47; 30.67 deg, I 72; 32.13 deg, I 62; 34.46 deg, I 25; 38.82 deg, I 43

***

(8)
Diffraction record for Sm5Ge2Pb. The XRD peak list is simulated, not measured: it uses a crystal structure in Alexandria, relaxed with GGA-PBE and Cu Kα (λ = 1.5418 Å).
Lines closer than 0.1° are merged.

Cell and atoms:
```
data_Sm5Ge2Pb
_chemical_formula_sum 'Sm10 Ge4 Pb2'
_cell_length_a 11.360
_cell_length_b 6.884
_cell_length_c 6.884
_cell_angle_alpha 90.00
_cell_angle_beta 127.28
_cell_angle_gamma 90.00
_space_group_name_H-M_alt 'C 1 2 1'
_space_group_IT_number 5
loop_
_space_group_symop_operation_xyz
'x,y,z'
'-x,y,-z'
'x+1/2,y+1/2,z'
'-x+1/2,y+1/2,-z'
loop_
_atom_site_label
_atom_site_fract_x
_atom_site_fract_y
_atom_site_fract_z
Sm1 0.000 0.000 0.000
Sm2 0.246 0.761 0.484
Sm3 0.247 0.238 0.009
Ge1 0.000 0.000 0.500
Ge2 0.000 0.499 0.000
Pb1 0.000 0.498 0.500
```

Principal peaks in the range 15° ≤ 2θ ≤ 90°, sorted by position:
32.70 deg, I 100; 36.93 deg, I 36; 39.89 deg, I 15; 53.23 deg, I 12; 55.49 deg, I 22; 63.89 deg, I 28

***

(9)
Diffraction record for Sm3GePb. The XRD peak list is simulated, not measured: it uses a crystal structure in Alexandria, relaxed with GGA-PBE and Cu Kα (λ = 1.5418 Å).
Lines closer than 0.1° are merged.

Cell and atoms:
```
data_Sm3GePb
_chemical_formula_sum 'Sm6 Ge2 Pb2'
_cell_length_a 4.606
_cell_length_b 7.017
_cell_length_c 9.448
_cell_angle_alpha 90.00
_cell_angle_beta 90.00
_cell_angle_gamma 90.00
_space_group_name_H-M_alt 'P m m n'
_space_group_IT_number 59
loop_
_space_group_symop_operation_xyz
'x,y,z'
'-x,-y,-z'
'-x+1/2,-y+1/2,z'
'x+1/2,y+1/2,-z'
'x+1/2,-y,-z'
'-x+1/2,y,z'
'-x,y+1/2,-z'
'x,-y+1/2,z'
loop_
_atom_site_label
_atom_site_fract_x
_atom_site_fract_y
_atom_site_fract_z
Sm1 0.250 0.011 0.166
Sm2 0.250 0.250 0.581
Ge1 0.250 0.250 0.899
Pb1 0.250 0.750 0.642
```

Principal peaks in the range 15° ≤ 2θ ≤ 90°, sorted by position:
27.06 deg, I 100; 33.48 deg, I 85; 38.41 deg, I 21; 39.11 deg, I 26; 43.32 deg, I 15; 59.69 deg, I 17

***

(10)
Diffraction record for Sm2ZnGePb. The XRD peak list is simulated, not measured: it uses a crystal structure in Alexandria, relaxed with GGA-PBE and Cu Kα (λ = 1.5418 Å).
Lines closer than 0.1° are merged.

Cell and atoms:
```
data_Sm2ZnGePb
_chemical_formula_sum 'Sm4 Zn2 Ge2 Pb2'
_cell_length_a 4.542
_cell_length_b 7.530
_cell_length_c 7.730
_cell_angle_alpha 90.00
_cell_angle_beta 90.00
_cell_angle_gamma 90.00
_space_group_name_H-M_alt 'P m m n'
_space_group_IT_number 59
loop_
_space_group_symop_operation_xyz
'x,y,z'
'-x,-y,-z'
'-x+1/2,-y+1/2,z'
'x+1/2,y+1/2,-z'
'x+1/2,-y,-z'
'-x+1/2,y,z'
'-x,y+1/2,-z'
'x,-y+1/2,z'
loop_
_atom_site_label
_atom_site_fract_x
_atom_site_fract_y
_atom_site_fract_z
Sm1 0.250 0.007 0.217
Zn1 0.250 0.750 0.596
Ge1 0.250 0.750 0.917
Pb1 0.250 0.250 0.605
```

Principal peaks in the range 15° ≤ 2θ ≤ 90°, sorted by position:
30.37 deg, I 26; 33.00 deg, I 100; 33.22 deg, I 30; 39.69 deg, I 26; 40.24 deg, I 39; 48.32 deg, I 21

***

(11)
Diffraction record for Sr5Ge2Pb2. The XRD peak list is simulated, not measured: it uses a crystal structure in Alexandria, relaxed with GGA-PBE and Cu Kα (λ = 1.5418 Å).
Lines closer than 0.1° are merged.

Cell and atoms:
```
data_Sr5Ge2Pb2
_chemical_formula_sum 'Sr20 Ge8 Pb8'
_cell_length_a 18.302
_cell_length_b 8.227
_cell_length_c 8.191
_cell_angle_alpha 90.00
_cell_angle_beta 90.00
_cell_angle_gamma 90.00
_space_group_name_H-M_alt 'C m c e'
_space_group_IT_number 64
_space_group_name_Hall '-C 2ac 2'
loop_
_atom_site_label
_atom_site_fract_x
_atom_site_fract_y
_atom_site_fract_z
Sr1 0.000 0.000 0.000
Sr2 0.126 0.183 0.318
Ge1 0.000 0.111 0.612
Pb1 0.228 0.000 0.000
```

Principal peaks in the range 15° ≤ 2θ ≤ 90°, sorted by position:
23.76 deg, I 26; 28.84 deg, I 19; 29.23 deg, I 100; 30.81 deg, I 39; 31.21 deg, I 19; 57.59 deg, I 29

***

(12)
Diffraction record for Tb3Ge2Pb. The XRD peak list is simulated, not measured: it uses a crystal structure in Alexandria, relaxed with GGA-PBE and Cu Kα (λ = 1.5418 Å).
Lines closer than 0.1° are merged.

Cell and atoms:
```
data_Tb3Ge2Pb
_chemical_formula_sum 'Tb6 Ge4 Pb2'
_cell_length_a 4.429
_cell_length_b 16.095
_cell_length_c 4.231
_cell_angle_alpha 90.00
_cell_angle_beta 90.00
_cell_angle_gamma 90.00
_space_group_name_H-M_alt 'C m m m'
_space_group_IT_number 65
_space_group_name_Hall '-C 2 2'
loop_
_atom_site_label
_atom_site_fract_x
_atom_site_fract_y
_atom_site_fract_z
Tb1 0.000 0.000 0.000
Tb2 0.000 0.172 0.500
Ge1 0.000 0.342 0.000
Pb1 0.000 0.500 0.500
```

Principal peaks in the range 15° ≤ 2θ ≤ 90°, sorted by position:
33.40 deg, I 25; 33.73 deg, I 100; 40.74 deg, I 16; 42.74 deg, I 13; 53.67 deg, I 13; 59.91 deg, I 18

***

(13)
Diffraction record for Tb4Ge2Pb. The XRD peak list is simulated, not measured: it uses a crystal structure in Alexandria, relaxed with GGA-PBE and Cu Kα (λ = 1.5418 Å).
Lines closer than 0.1° are merged.

Cell and atoms:
```
data_Tb4Ge2Pb
_chemical_formula_sum 'Tb16 Ge8 Pb4'
_cell_length_a 9.452
_cell_length_b 9.452
_cell_length_c 9.416
_cell_angle_alpha 90.00
_cell_angle_beta 90.00
_cell_angle_gamma 90.00
_space_group_name_H-M_alt 'I 41/a m d'
_space_group_IT_number 141
loop_
_space_group_symop_operation_xyz
'x,y,z'
'-x,-y,-z'
'-y+1/4,x+3/4,z+1/4'
'y+1/4,-x+3/4,-z+1/4'
'-x+1/2,-y,z+1/2'
'x+1/2,y,-z+1/2'
'y+1/4,-x+1/4,z+3/4'
'-y+1/4,x+1/4,-z+3/4'
'x,-y,-z'
'-x,y,z'
'-y+1/4,-x+1/4,-z+3/4'
'y+1/4,x+1/4,z+3/4'
'-x+1/2,y,-z+1/2'
'x+1/2,-y,z+1/2'
'y+1/4,x+3/4,-z+1/4'
'-y+1/4,-x+3/4,z+1/4'
'x+1/2,y+1/2,z+1/2'
'-x+1/2,-y+1/2,-z+1/2'
'-y+3/4,x+1/4,z+3/4'
'y+3/4,-x+1/4,-z+3/4'
'-x,-y+1/2,z'
'x,y+1/2,-z'
'y+3/4,-x+3/4,z+1/4'
'-y+3/4,x+3/4,-z+1/4'
'x+1/2,-y+1/2,-z+1/2'
'-x+1/2,y+1/2,z+1/2'
'-y+3/4,-x+3/4,-z+1/4'
'y+3/4,x+3/4,z+1/4'
'-x,y+1/2,-z'
'x,-y+1/2,z'
'y+3/4,x+1/4,-z+3/4'
'-y+3/4,-x+1/4,z+3/4'
loop_
_atom_site_label
_atom_site_fract_x
_atom_site_fract_y
_atom_site_fract_z
Tb1 0.000 0.069 0.205
Ge1 0.000 0.000 0.500
Pb1 0.000 0.250 0.875
```

Principal peaks in the range 15° ≤ 2θ ≤ 90°, sorted by position:
18.78 deg, I 31; 26.71 deg, I 39; 29.96 deg, I 100; 35.56 deg, I 76; 45.03 deg, I 29; 49.18 deg, I 20